Starting from DFT lattice parameters and positions (GGA-PBE), the powder diffraction line list of Tl2SeO4 was computed for λ = 1.5418 Å (Cu Kα).
Peak positions follow from Bragg's law for the DFT cell and can differ from measured ones.

Peak list (10 most intense, 2θ = 10–90°, sorted by position)
26.56 deg, 3.356 Å, I = 588
26.81 deg, 3.326 Å, I = 602
26.96 deg, 3.307 Å, I = 609
27.36 deg, 3.260 Å, I = 375
27.98 deg, 3.189 Å, I = 1000
38.39 deg, 2.345 Å, I = 214
38.61 deg, 2.332 Å, I = 200
39.87 deg, 2.261 Å, I = 243
47.77 deg, 1.904 Å, I = 259
53.47 deg, 1.714 Å, I = 179

Structural model:
a = 6.3892 Å, b = 6.3892 Å, c = 8.1473 Å
α = 90.21°, β = 90.21°, γ = 116.62°
Positions (direct):
Tl (0.0000, 0.0000, 0.0000)
Tl (0.0000, 0.0000, 0.5000)
Tl (0.3315, 0.6634, 0.2447)
Tl (0.6634, 0.3315, 0.7447)
Se (0.3444, 0.6562, 0.7465)
Se (0.6562, 0.3444, 0.2465)
O (0.2322, 0.3609, 0.7559)
O (0.2513, 0.7339, 0.5765)
O (0.2642, 0.7579, 0.9121)
O (0.3608, 0.2322, 0.2559)
O (0.6397, 0.7633, 0.7434)
O (0.7339, 0.2513, 0.0765)
O (0.7579, 0.2642, 0.4121)
O (0.7633, 0.6397, 0.2434)